1.
For KRbUSe4, a cell relaxed with PBE gives the calculated powder diffraction line list in this record (CuKα).
Lines closer than 0.1° are merged.

Structural model:
```
data_KRbUSe4
_cell_length_a 13.3336
_cell_length_b 8.6415
_cell_length_c 4.2542
_cell_angle_alpha 90.00
_cell_angle_beta 95.94
_cell_angle_gamma 90.00
_symmetry_space_group_name_H-M 'C 1 m 1'
_symmetry_Int_Tables_number 8
loop_
_symmetry_equiv_pos_as_xyz
'x,y,z'
'x,-y,z'
'x+1/2,y+1/2,z'
'x+1/2,-y+1/2,z'
loop_
_atom_site_label
_atom_site_type_symbol
_atom_site_fract_x
_atom_site_fract_y
_atom_site_fract_z
K1 K 0.0000 0.0000 0.0000
Rb1 Rb 0.1890 0.5000 0.4723
U1 U 0.3420 0.0000 0.7295
Se1 Se 0.2269 0.2017 0.9767
Se2 Se 0.4556 0.2091 0.4988
```

Most intense lines, 10 to 90 degrees two-theta, in order of rising 2θ:
(1 1 0), 2θ 12.22, intensity 100
(2 0 0), 2θ 13.35, intensity 43
(3 1 0), 2θ 22.59, intensity 48
(1 1 1), 2θ 24.97, intensity 66
(2 0 1), 2θ 26.13, intensity 34
(2 2 -1), 2θ 31.61, intensity 85
(4 2 0), 2θ 34.09, intensity 29
(3 3 0), 2θ 37.26, intensity 34


2.
For Ta3H2, a cell relaxed with PBE gives the calculated powder diffraction line list in this record (CuKα).
Lines closer than 0.1° are merged.

Structural model:
```
data_Ta3H2
_cell_length_a 2.9120
_cell_length_b 4.8173
_cell_length_c 4.8662
_cell_angle_alpha 60.35
_cell_angle_beta 89.10
_cell_angle_gamma 89.88
_symmetry_space_group_name_H-M 'P -1'
_symmetry_Int_Tables_number 2
loop_
_symmetry_equiv_pos_as_xyz
'x,y,z'
'-x,-y,-z'
loop_
_atom_site_label
_atom_site_type_symbol
_atom_site_fract_x
_atom_site_fract_y
_atom_site_fract_z
Ta1 Ta 0.0000 0.0000 0.0000
Ta2 Ta 0.3269 0.3255 0.3489
H1 H 0.4993 0.2613 0.9994
```

Most intense lines, 10 to 90 degrees two-theta, in order of rising 2θ:
(0 1 2), 2θ 36.95, intensity 100
(0 2 1), 2θ 37.33, intensity 49
(1 1 1), 2θ 37.48, intensity 98
(1 0 -1), 2θ 37.81, intensity 47
(1 0 2), 2θ 53.10, intensity 18
(1 2 3), 2θ 66.70, intensity 18
(0 3 3), 2θ 67.08, intensity 18
(1 3 2), 2θ 67.36, intensity 26


3.
For CsKHg2BiSb, a cell relaxed with PBE gives the calculated powder diffraction line list in this record (CuKα).
Lines closer than 0.1° are merged.

Structural model:
```
data_CsKHg2BiSb
_cell_length_a 5.0078
_cell_length_b 5.0078
_cell_length_c 11.2244
_cell_angle_alpha 90.00
_cell_angle_beta 90.00
_cell_angle_gamma 120.00
_symmetry_space_group_name_H-M 'P 3 m 1'
_symmetry_Int_Tables_number 156
loop_
_symmetry_equiv_pos_as_xyz
'x,y,z'
'-y,x-y,z'
'-x+y,-x,z'
'-y,-x,z'
'-x+y,y,z'
'x,x-y,z'
loop_
_atom_site_label
_atom_site_type_symbol
_atom_site_fract_x
_atom_site_fract_y
_atom_site_fract_z
Cs1 Cs 0.0000 0.0000 0.0000
K1 K 0.0000 0.0000 0.5089
Hg1 Hg 0.3333 0.6667 0.7258
Hg2 Hg 0.6667 0.3333 0.2930
Bi1 Bi 0.3333 0.6667 0.2623
Sb1 Sb 0.6667 0.3333 0.7421
```

Most intense lines, 10 to 90 degrees two-theta, in order of rising 2θ:
(0 0 2), 2θ 15.79, intensity 48
(0 1 2), 2θ 25.96, intensity 100
(0 0 4), 2θ 31.89, intensity 20
(1 1 0), 2θ 35.86, intensity 62
(1 1 2), 2θ 39.41, intensity 32
(2 0 2), 2θ 44.81, intensity 23
(1 1 4), 2θ 48.74, intensity 37
(1 2 2), 2θ 58.67, intensity 21


4.
For FePH12C4Cl4, a cell relaxed with PBE gives the calculated powder diffraction line list in this record (CuKα).
Lines closer than 0.1° are merged.

Structural model:
```
data_FePH12C4Cl4
_cell_length_a 7.6855
_cell_length_b 7.6855
_cell_length_c 12.5476
_cell_angle_alpha 90.00
_cell_angle_beta 90.00
_cell_angle_gamma 120.00
_symmetry_space_group_name_H-M 'P 63 m c'
_symmetry_Int_Tables_number 186
_symmetry_space_group_name_Hall 'P 6c -2c'
loop_
_atom_site_label
_atom_site_type_symbol
_atom_site_fract_x
_atom_site_fract_y
_atom_site_fract_z
Fe1 Fe 0.0000 0.0000 0.0000
P1 P 0.3333 0.6667 0.2436
H1 H 0.0030 0.3844 0.2615
H2 H 0.0804 0.5402 0.3787
H3 H 0.2553 0.5106 0.0723
C1 C 0.0794 0.5397 0.2911
C2 C 0.3333 0.6667 0.1008
Cl1 Cl 0.0000 0.0000 0.3243
Cl2 Cl 0.1569 0.3138 0.5566
```

Most intense lines, 10 to 90 degrees two-theta, in order of rising 2θ:
(1 0 0), 2θ 13.30, intensity 100
(1 0 1), 2θ 15.07, intensity 46
(1 0 2), 2θ 19.44, intensity 90
(1 1 0), 2θ 23.15, intensity 37
(2 0 1), 2θ 27.73, intensity 72
(0 0 4), 2θ 28.45, intensity 36
(2 0 2), 2θ 30.40, intensity 33
(2 2 0), 2θ 47.31, intensity 32


5.
For Hg2GeTe2F2, a cell relaxed with PBE gives the calculated powder diffraction line list in this record (CuKα).
Lines closer than 0.1° are merged.

Structural model:
```
data_Hg2GeTe2F2
_cell_length_a 4.0697
_cell_length_b 4.0697
_cell_length_c 9.2758
_cell_angle_alpha 90.00
_cell_angle_beta 90.00
_cell_angle_gamma 90.00
_symmetry_space_group_name_H-M 'P -4 m 2'
_symmetry_Int_Tables_number 115
loop_
_symmetry_equiv_pos_as_xyz
'x,y,z'
'y,-x,-z'
'-x,-y,z'
'-y,x,-z'
'-x,y,z'
'-y,-x,-z'
'x,-y,z'
'y,x,-z'
loop_
_atom_site_label
_atom_site_type_symbol
_atom_site_fract_x
_atom_site_fract_y
_atom_site_fract_z
Hg1 Hg 0.0000 0.5000 0.1563
Ge1 Ge 0.0000 0.0000 0.5000
Te1 Te 0.0000 0.5000 0.6953
F1 F 0.0000 0.0000 0.0000
F2 F 0.5000 0.5000 0.0000
```

Most intense lines, 10 to 90 degrees two-theta, in order of rising 2θ:
(0 0 2), 2θ 19.14, intensity 13
(1 0 2), 2θ 29.19, intensity 100
(1 1 0), 2θ 31.08, intensity 43
(1 1 2), 2θ 36.75, intensity 41
(2 0 0), 2θ 44.53, intensity 33
(1 0 4), 2θ 44.99, intensity 31
(2 1 2), 2θ 54.13, intensity 36
(2 1 4), 2θ 65.16, intensity 21


6.
For BaSrNd2Sb2O, a cell relaxed with PBE gives the calculated powder diffraction line list in this record (CuKα).
Lines closer than 0.1° are merged.

Structural model:
```
data_BaSrNd2Sb2O
_cell_length_a 4.8374
_cell_length_b 4.8374
_cell_length_c 18.4144
_cell_angle_alpha 90.00
_cell_angle_beta 90.00
_cell_angle_gamma 90.00
_symmetry_space_group_name_H-M 'I 4 m m'
_symmetry_Int_Tables_number 107
_symmetry_space_group_name_Hall 'I 4 -2'
loop_
_atom_site_label
_atom_site_type_symbol
_atom_site_fract_x
_atom_site_fract_y
_atom_site_fract_z
Ba1 Ba 0.0000 0.0000 0.0000
Sr1 Sr 0.0000 0.0000 0.6552
Nd1 Nd 0.0000 0.5000 0.3182
Sb1 Sb 0.0000 0.0000 0.1892
Sb2 Sb 0.0000 0.0000 0.4453
O1 O 0.0000 0.0000 0.8022
```

Most intense lines, 10 to 90 degrees two-theta, in order of rising 2θ:
(1 1 2), 2θ 27.82, intensity 73
(0 0 6), 2θ 29.10, intensity 28
(1 0 5), 2θ 30.51, intensity 34
(1 1 4), 2θ 32.61, intensity 100
(2 0 0), 2θ 37.17, intensity 60
(2 0 6), 2θ 47.88, intensity 28
(2 2 0), 2θ 53.58, intensity 20
(3 1 4), 2θ 64.15, intensity 28